For MgNiBO4, a structure optimized by DFT (GGA+U) gives the simulated PXRD pattern in this record (Cu Kα X-rays).
Lines closer than 0.1° are merged.

```
MgNiBO4
1.0
2.601 -4.085 0.000
2.601 4.085 0.000
0.000 0.000 6.123
Mg Ni B O
2 2 2 8
Direct
0.000 0.000 0.000
0.000 0.000 0.500
0.331 0.669 0.750
0.669 0.331 0.250
0.363 0.637 0.250
0.637 0.363 0.750
0.237 0.300 0.250
0.257 0.743 0.052
0.257 0.743 0.448
0.300 0.237 0.750
0.700 0.763 0.250
0.743 0.257 0.552
0.743 0.257 0.948
0.763 0.700 0.750
```

Top 10 peaks for 2θ = 15–90°, most intense first:
d = 2.413 Å, 37.27°, I 100.0
d = 2.511 Å, 35.76°, I 98.9
d = 3.567 Å, 24.96°, I 85.4
d = 2.601 Å, 34.48°, I 64.0
d = 1.851 Å, 49.24°, I 50.8
d = 2.066 Å, 43.83°, I 44.7
d = 2.194 Å, 41.14°, I 37.5
d = 1.422 Å, 65.63°, I 35.9
d = 1.783 Å, 51.22°, I 32.2
d = 3.061 Å, 29.17°, I 30.7